This entry pairs a crystal structure of NiP3NO9 with its simulated powder diffractogram. Radiation: Cu Ka. Structure: the GGA+U geometry in Alexandria.

The 10 most intense peaks (10° ≤ 2θ ≤ 90°), low angle first:
d 5.648, 2θ = 15.69°, I = 1000
d 5.005, 2θ = 17.72°, I = 582
d 2.999, 2θ = 29.79°, I = 201
d 2.890, 2θ = 30.94°, I = 138
d 2.824, 2θ = 31.68°, I = 430
d 2.503, 2θ = 35.88°, I = 65
d 2.020, 2θ = 44.88°, I = 140
d 1.883, 2θ = 48.35°, I = 95
d 1.710, 2θ = 53.59°, I = 69
d 1.572, 2θ = 58.74°, I = 69

Crystal structure
Cell lengths 6.2899, 6.2899, 6.2899 Å; angles 105.46, 105.46, 105.46 degrees
Element x y z (fractional)
Ni (0.0000, 0.0000, 0.0000)
P (0.0741, 0.5000, 0.9259)
P (0.5000, 0.9259, 0.0741)
P (0.9259, 0.0741, 0.5000)
N (0.5000, 0.5000, 0.5000)
O (0.0000, 0.3512, 0.6488)
O (0.0519, 0.3378, 0.0625)
O (0.0625, 0.0519, 0.3378)
O (0.3378, 0.0625, 0.0519)
O (0.3512, 0.6488, 0.0000)
O (0.6488, 0.0000, 0.3512)
O (0.6622, 0.9481, 0.9375)
O (0.9375, 0.6622, 0.9481)
O (0.9481, 0.9375, 0.6622)

***

This entry pairs a crystal structure of SrNiNO2 with its simulated powder diffractogram. Radiation: Cu Ka. Structure: the GGA+U geometry in Alexandria.

The 10 most intense peaks (10° ≤ 2θ ≤ 90°), low angle first:
d 2.850, 2θ = 31.38°, I = 512
d 2.733, 2θ = 32.77°, I = 1000
d 2.262, 2θ = 39.85°, I = 138
d 2.016, 2θ = 44.97°, I = 401
d 1.859, 2θ = 49.00°, I = 152
d 1.622, 2θ = 56.75°, I = 412
d 1.557, 2θ = 59.36°, I = 165
d 1.425, 2θ = 65.49°, I = 117
d 1.366, 2θ = 68.69°, I = 200
d 1.131, 2θ = 85.94°, I = 105

Crystal structure
Cell lengths 4.0312, 4.0312, 3.7177 Å; angles 90.00, 90.00, 90.00 degrees
Element x y z (fractional)
Sr (0.0000, 0.0000, 0.0000)
Ni (0.5000, 0.5000, 0.5000)
N (0.5000, 0.5000, 0.0000)
O (0.0000, 0.5000, 0.5000)
O (0.5000, 0.0000, 0.5000)

***

This entry pairs a crystal structure of Sr2NiN6O12 with its simulated powder diffractogram. Radiation: Cu Ka. Structure: the GGA+U geometry in Alexandria.

The 10 most intense peaks (10° ≤ 2θ ≤ 90°), low angle first:
d 5.828, 2θ = 15.20°, I = 1000
d 3.569, 2θ = 24.95°, I = 589
d 2.523, 2θ = 35.58°, I = 374
d 2.257, 2θ = 39.94°, I = 255
d 2.060, 2θ = 43.95°, I = 547
d 1.943, 2θ = 46.76°, I = 245
d 1.784, 2θ = 51.20°, I = 141
d 1.596, 2θ = 57.77°, I = 246
d 1.349, 2θ = 69.72°, I = 177
d 1.190, 2θ = 80.79°, I = 207

Crystal structure
Cell lengths 7.1373, 7.1373, 7.1373 Å; angles 60.00, 60.00, 60.00 degrees
Element x y z (fractional)
Sr (0.2500, 0.2500, 0.2500)
Sr (0.7500, 0.7500, 0.7500)
Ni (0.0000, 0.0000, 0.0000)
N (0.1889, 0.1889, 0.8111)
N (0.1889, 0.8111, 0.1889)
N (0.1889, 0.8111, 0.8111)
N (0.8111, 0.1889, 0.1889)
N (0.8111, 0.1889, 0.8111)
N (0.8111, 0.8111, 0.1889)
O (0.0000, 0.0000, 0.3414)
O (0.0000, 0.0000, 0.6586)
O (0.0000, 0.3414, 0.0000)
O (0.0000, 0.3414, 0.6586)
O (0.0000, 0.6586, 0.0000)
O (0.0000, 0.6586, 0.3414)
O (0.3414, 0.0000, 0.0000)
O (0.3414, 0.0000, 0.6586)
O (0.3414, 0.6586, 0.0000)
O (0.6586, 0.0000, 0.0000)
O (0.6586, 0.0000, 0.3414)
O (0.6586, 0.3414, 0.0000)